For Li4Ti3V3Fe2O16, a crystal structure in Alexandria, relaxed with GGA+U gives the computed PXRD pattern in this record (Cu Kα (λ = 1.5418 Å)).
No peak broadening, texture or thermal motion is included.

Main lines, low angle first (2θ from 10° to 90°):
2θ = 18.39°, I = 59; 2θ = 19.53°, I = 100; 2θ = 25.24°, I = 24; 2θ = 32.77°, I = 21; 2θ = 35.36°, I = 22; 2θ = 35.47°, I = 23; 2θ = 35.60°, I = 24; 2θ = 36.12°, I = 31; 2θ = 39.69°, I = 34; 2θ = 45.06°, I = 21

Structural model:
```
Li4Ti3V3Fe2O16
1.0
5.9306 0.0000 0.0000
2.9505 5.1594 0.0000
0.0414 0.0578 9.6478
Li Ti V Fe O
4 3 3 2 16
Direct
0.0000 0.0000 0.0000
0.0130 0.9829 0.5016
0.3357 0.3365 0.4019
0.6855 0.6578 0.9015
0.1941 0.6458 0.7282
0.3417 0.8035 0.2136
0.8117 0.8444 0.2310
0.1821 0.1618 0.7153
0.6719 0.1502 0.7163
0.8472 0.3369 0.2171
0.3460 0.3209 0.9975
0.6748 0.6567 0.4989
0.0091 0.9834 0.8147
0.0167 0.9836 0.3155
0.0541 0.4712 0.8442
0.1776 0.1523 0.1056
0.1788 0.6644 0.1040
0.3382 0.8270 0.6072
0.3466 0.3401 0.6066
0.4944 0.4761 0.8427
0.5080 0.0307 0.8410
0.5211 0.5229 0.3423
0.5234 0.9644 0.3444
0.6678 0.6872 0.1090
0.6812 0.1616 0.1091
0.8375 0.3129 0.6080
0.8441 0.8253 0.6089
0.9668 0.5256 0.3456
```